Starting from a DFT-relaxed cell (GGA-PBE, Alexandria), the powder diffractogram of NaAlTe2 was computed for a wavelength of 1.5418 Å.
Peak positions follow from Bragg's law for the DFT cell and can differ from measured ones.

The 6 most intense peaks (2θ from 10° to 80°), most intense first:
| 2θ (°) | I (rel.) |
| --- | --- |
| 21.6 | 100 |
| 11.8 | 48 |
| 30.0 | 37 |
| 36.5 | 32 |
| 52.3 | 19 |
| 23.8 | 16 |

Atomic structure:
a = 7.4822 Å, b = 6.5514 Å, c = 7.4839 Å
α = 90.00°, β = 90.05°, γ = 90.00°
Atoms (fractional coordinates):
Na 0.0000 0.0000 0.0000
Na 0.5000 0.0057 0.5000
Al 0.5000 0.0025 0.0000
Al 0.5000 0.5026 0.0000
Te 0.3019 0.2544 0.8035
Te 0.3038 0.7507 0.1980
Te 0.6962 0.7507 0.8020
Te 0.6981 0.2544 0.1965



Starting from a DFT-relaxed cell (GGA-PBE, Alexandria), the powder diffractogram of NaAlTe3 was computed for a wavelength of 1.5418 Å.
Peak positions follow from Bragg's law for the DFT cell and can differ from measured ones.

The 6 most intense peaks (2θ from 10° to 80°), most intense first:
| 2θ (°) | I (rel.) |
| --- | --- |
| 23.6 | 100 |
| 23.8 | 50 |
| 24.9 | 44 |
| 43.6 | 35 |
| 28.3 | 32 |
| 40.3 | 28 |

Atomic structure:
a = 8.6976 Å, b = 8.1043 Å, c = 11.9931 Å
α = 90.00°, β = 120.05°, γ = 90.00°
Atoms (fractional coordinates):
Na 0.2291 0.2059 0.3733
Na 0.2291 0.2941 0.8733
Na 0.7709 0.7059 0.1267
Na 0.7709 0.7941 0.6267
Al 0.1294 0.6647 0.5522
Al 0.1294 0.8353 0.0522
Al 0.8706 0.1647 0.9478
Al 0.8706 0.3353 0.4478
Te 0.2004 0.6244 0.2439
Te 0.2004 0.8756 0.7439
Te 0.2172 0.1463 0.1125
Te 0.2172 0.3537 0.6125
Te 0.3206 0.6852 0.9658
Te 0.3206 0.8148 0.4658
Te 0.6794 0.1852 0.5342
Te 0.6794 0.3148 0.0342
Te 0.7828 0.6463 0.3875
Te 0.7828 0.8537 0.8875
Te 0.7996 0.1244 0.2561
Te 0.7996 0.3756 0.7561



Starting from a DFT-relaxed cell (GGA-PBE, Alexandria), the powder diffractogram of NaTiAl was computed for a wavelength of 1.5418 Å.
Peak positions follow from Bragg's law for the DFT cell and can differ from measured ones.

The 6 most intense peaks (2θ from 10° to 80°), most intense first:
| 2θ (°) | I (rel.) |
| --- | --- |
| 37.4 | 100 |
| 11.1 | 48 |
| 41.9 | 42 |
| 33.7 | 36 |
| 43.4 | 21 |
| 64.4 | 13 |

Atomic structure:
a = 2.9429 Å, b = 4.9880 Å, c = 8.4086 Å
α = 105.47°, β = 100.05°, γ = 90.01°
Atoms (fractional coordinates):
Na 0.2439 0.2430 0.4862
Na 0.7561 0.7570 0.5138
Ti 0.0649 0.7214 0.1311
Ti 0.9351 0.2786 0.8689
Al 0.4261 0.7743 0.8513
Al 0.5739 0.2257 0.1487



Starting from a DFT-relaxed cell (GGA-PBE, Alexandria), the powder diffractogram of NaAl5Zn7 was computed for a wavelength of 1.5418 Å.
Peak positions follow from Bragg's law for the DFT cell and can differ from measured ones.

The 6 most intense peaks (2θ from 10° to 80°), most intense first:
| 2θ (°) | I (rel.) |
| --- | --- |
| 43.8 | 100 |
| 39.2 | 57 |
| 39.5 | 54 |
| 44.7 | 53 |
| 33.3 | 48 |
| 33.6 | 43 |

Atomic structure:
a = 6.9888 Å, b = 6.9888 Å, c = 6.9888 Å
α = 134.72°, β = 97.34°, γ = 99.71°
Atoms (fractional coordinates):
Na 0.0000 0.0000 0.0000
Al 0.0052 0.5006 0.0057
Al 0.0052 0.9995 0.5046
Al 0.4948 0.5006 0.4954
Al 0.4948 0.9995 0.9943
Al 0.7741 0.2741 0.5000
Zn 0.2090 0.4984 0.7106
Zn 0.2159 0.7159 0.5000
Zn 0.3539 0.0015 0.3523
Zn 0.3541 0.3541 0.0000
Zn 0.6492 0.0015 0.6477
Zn 0.6511 0.6511 0.0000
Zn 0.7878 0.4984 0.2894